Entry 1:
Starting from the GGA-PBE geometry in the Materials Project, the X-ray diffraction stick pattern of Hf4Ni3As8 was computed for copper Kα.
Neutral-atom scattering factors, no anomalous dispersion.

Structure:
a b c (Å): 3.833 3.833 17.436
angles (deg): 90.00 90.00 90.00
Fractional positions:
Hf: 0.000 0.500 0.127
Hf: 0.000 0.500 0.630
Hf: 0.500 0.000 0.370
Hf: 0.500 0.000 0.873
Ni: 0.000 0.000 0.000
Ni: 0.000 0.000 0.500
Ni: 0.500 0.500 0.500
As: 0.000 0.000 0.249
As: 0.000 0.000 0.751
As: 0.000 0.500 0.417
As: 0.000 0.500 0.926
As: 0.500 0.000 0.074
As: 0.500 0.000 0.583
As: 0.500 0.500 0.249
As: 0.500 0.500 0.751

Principal peaks in the range 2θ = 10–80°, in order of rising 2θ:
2θ = 25.4°, rel. 353
2θ = 31.1°, rel. 135
2θ = 38.9°, rel. 334
2θ = 39.1°, rel. 1000
2θ = 47.4°, rel. 378
2θ = 58.1°, rel. 173
2θ = 62.9°, rel. 164
2θ = 64.8°, rel. 123
2θ = 69.3°, rel. 120
2θ = 78.2°, rel. 147

***

Entry 2:
Starting from the GGA-PBE geometry in the Materials Project, the X-ray diffraction stick pattern of HfAs2O9 was computed for copper Kα.
Neutral-atom scattering factors, no anomalous dispersion.

Structure:
a b c (Å): 9.312 5.485 16.450
angles (deg): 90.00 111.19 90.00
Fractional positions:
Hf: 0.238 0.237 0.478
Hf: 0.238 0.263 0.978
Hf: 0.762 0.737 0.022
Hf: 0.762 0.763 0.522
As: 0.008 0.237 0.118
As: 0.008 0.263 0.618
As: 0.460 0.732 0.607
As: 0.460 0.768 0.107
As: 0.540 0.232 0.893
As: 0.540 0.268 0.393
As: 0.992 0.737 0.382
As: 0.992 0.763 0.882
O: 0.058 0.031 0.395
O: 0.058 0.469 0.895
O: 0.111 0.178 0.053
O: 0.111 0.322 0.553
O: 0.136 0.190 0.224
O: 0.136 0.310 0.724
O: 0.144 0.541 0.404
O: 0.144 0.959 0.904
O: 0.265 0.630 0.744
O: 0.265 0.870 0.244
O: 0.318 0.564 0.056
O: 0.318 0.936 0.556
O: 0.373 0.174 0.404
O: 0.373 0.326 0.904
O: 0.415 0.054 0.065
O: 0.415 0.446 0.565
O: 0.482 0.719 0.718
O: 0.482 0.781 0.218
O: 0.518 0.219 0.782
O: 0.518 0.281 0.282
O: 0.585 0.554 0.435
O: 0.585 0.946 0.935
O: 0.627 0.674 0.096
O: 0.627 0.826 0.596
O: 0.682 0.064 0.444
O: 0.682 0.436 0.944
O: 0.735 0.130 0.756
O: 0.735 0.370 0.256
O: 0.856 0.041 0.096
O: 0.856 0.459 0.596
O: 0.864 0.690 0.276
O: 0.864 0.810 0.776
O: 0.889 0.678 0.447
O: 0.889 0.822 0.947
O: 0.942 0.531 0.105
O: 0.942 0.969 0.605

Principal peaks in the range 2θ = 10–80°, in order of rising 2θ:
2θ = 11.5°, rel. 882
2θ = 19.1°, rel. 430
2θ = 19.5°, rel. 255
2θ = 24.3°, rel. 1000
2θ = 24.8°, rel. 494
2θ = 32.7°, rel. 201
2θ = 33.1°, rel. 136
2θ = 33.2°, rel. 312
2θ = 36.7°, rel. 159
2θ = 58.6°, rel. 130

***

Entry 3:
Starting from the GGA-PBE geometry in the Materials Project, the X-ray diffraction stick pattern of HfAsOs was computed for copper Kα.
Neutral-atom scattering factors, no anomalous dispersion.

Structure:
a b c (Å): 6.592 6.592 3.982
angles (deg): 90.00 90.00 120.00
Fractional positions:
Hf: 0.000 0.580 0.000
Hf: 0.420 0.420 0.000
Hf: 0.580 0.000 0.000
As: 0.000 0.000 0.000
As: 0.333 0.667 0.500
As: 0.667 0.333 0.500
Os: 0.000 0.247 0.500
Os: 0.247 0.000 0.500
Os: 0.753 0.753 0.500

Principal peaks in the range 2θ = 10–80°, in order of rising 2θ:
2θ = 27.3°, rel. 116
2θ = 35.4°, rel. 1000
2θ = 38.8°, rel. 799
2θ = 41.9°, rel. 594
2θ = 45.6°, rel. 298
2θ = 47.8°, rel. 136
2θ = 48.0°, rel. 172
2θ = 63.2°, rel. 204
2θ = 63.6°, rel. 350
2θ = 76.6°, rel. 228

***

Entry 4:
Starting from the GGA-PBE geometry in the Materials Project, the X-ray diffraction stick pattern of HfAsPd was computed for copper Kα.
Neutral-atom scattering factors, no anomalous dispersion.

Structure:
a b c (Å): 6.740 6.740 3.962
angles (deg): 90.00 90.00 120.00
Fractional positions:
Hf: 0.000 0.595 0.000
Hf: 0.405 0.405 0.000
Hf: 0.595 0.000 0.000
As: 0.000 0.000 0.000
As: 0.333 0.667 0.500
As: 0.667 0.333 0.500
Pd: 0.000 0.264 0.500
Pd: 0.264 0.000 0.500
Pd: 0.736 0.736 0.500

Principal peaks in the range 2θ = 10–80°, in order of rising 2θ:
2θ = 35.0°, rel. 1000
2θ = 38.3°, rel. 636
2θ = 40.9°, rel. 336
2θ = 45.8°, rel. 236
2θ = 46.7°, rel. 242
2θ = 56.9°, rel. 124
2θ = 61.9°, rel. 167
2θ = 63.1°, rel. 186
2θ = 67.5°, rel. 160
2θ = 74.8°, rel. 205

***

Entry 5:
Starting from the GGA-PBE geometry in the Materials Project, the X-ray diffraction stick pattern of Hf9AsW4 was computed for copper Kα.
Neutral-atom scattering factors, no anomalous dispersion.

Structure:
a b c (Å): 8.703 8.703 8.710
angles (deg): 90.00 90.00 120.00
Fractional positions:
Hf: 0.080 0.540 0.250
Hf: 0.195 0.390 0.546
Hf: 0.195 0.390 0.954
Hf: 0.195 0.805 0.546
Hf: 0.195 0.805 0.954
Hf: 0.390 0.195 0.046
Hf: 0.390 0.195 0.454
Hf: 0.460 0.540 0.250
Hf: 0.460 0.920 0.250
Hf: 0.540 0.080 0.750
Hf: 0.540 0.460 0.750
Hf: 0.610 0.805 0.546
Hf: 0.610 0.805 0.954
Hf: 0.805 0.195 0.046
Hf: 0.805 0.195 0.454
Hf: 0.805 0.610 0.046
Hf: 0.805 0.610 0.454
Hf: 0.920 0.460 0.750
As: 0.333 0.667 0.750
As: 0.667 0.333 0.250
W: 0.000 0.000 0.000
W: 0.000 0.000 0.500
W: 0.110 0.220 0.250
W: 0.110 0.890 0.250
W: 0.220 0.110 0.750
W: 0.780 0.890 0.250
W: 0.890 0.110 0.750
W: 0.890 0.780 0.750

Principal peaks in the range 2θ = 10–80°, in order of rising 2θ:
2θ = 11.7°, rel. 220
2θ = 31.4°, rel. 285
2θ = 33.1°, rel. 191
2θ = 37.2°, rel. 603
2θ = 37.7°, rel. 1000
2θ = 39.2°, rel. 399
2θ = 41.5°, rel. 469
2θ = 62.5°, rel. 211
2θ = 65.2°, rel. 255
2θ = 65.5°, rel. 240

***

Entry 6:
Starting from the GGA-PBE geometry in the Materials Project, the X-ray diffraction stick pattern of K2HgAsI6 was computed for copper Kα.
Neutral-atom scattering factors, no anomalous dispersion.

Structure:
a b c (Å): 8.461 8.461 8.461
angles (deg): 60.00 60.00 60.00
Fractional positions:
K: 0.250 0.250 0.250
K: 0.750 0.750 0.750
Hg: 0.000 0.000 0.000
As: 0.500 0.500 0.500
I: 0.258 0.258 0.742
I: 0.258 0.742 0.258
I: 0.258 0.742 0.742
I: 0.742 0.258 0.258
I: 0.742 0.258 0.742
I: 0.742 0.742 0.258

Principal peaks in the range 2θ = 10–80°, in order of rising 2θ:
2θ = 14.8°, rel. 851
2θ = 25.8°, rel. 493
2θ = 29.9°, rel. 1000
2θ = 33.5°, rel. 472
2θ = 42.7°, rel. 733
2θ = 45.5°, rel. 255
2θ = 50.6°, rel. 207
2θ = 53.0°, rel. 255
2θ = 70.4°, rel. 319
2θ = 78.3°, rel. 236

***

Entry 7:
Starting from the GGA-PBE geometry in the Materials Project, the X-ray diffraction stick pattern of Na2HgAsI6 was computed for copper Kα.
Neutral-atom scattering factors, no anomalous dispersion.

Structure:
a b c (Å): 8.408 8.408 8.408
angles (deg): 60.00 60.00 60.00
Fractional positions:
Na: 0.250 0.250 0.250
Na: 0.750 0.750 0.750
Hg: 0.000 0.000 0.000
As: 0.500 0.500 0.500
I: 0.258 0.258 0.742
I: 0.258 0.742 0.258
I: 0.258 0.742 0.742
I: 0.742 0.258 0.258
I: 0.742 0.258 0.742
I: 0.742 0.742 0.258

Principal peaks in the range 2θ = 10–80°, in order of rising 2θ:
2θ = 14.9°, rel. 1000
2θ = 26.0°, rel. 436
2θ = 30.1°, rel. 943
2θ = 33.7°, rel. 545
2θ = 43.0°, rel. 695
2θ = 45.8°, rel. 290
2θ = 50.9°, rel. 186
2θ = 53.4°, rel. 242
2θ = 70.9°, rel. 304
2θ = 78.9°, rel. 225

***

Entry 8:
Starting from the GGA-PBE geometry in the Materials Project, the X-ray diffraction stick pattern of Rb2HgAsI6 was computed for copper Kα.
Neutral-atom scattering factors, no anomalous dispersion.

Structure:
a b c (Å): 8.493 8.493 8.493
angles (deg): 60.00 60.00 60.00
Fractional positions:
Rb: 0.250 0.250 0.250
Rb: 0.750 0.750 0.750
Hg: 0.000 0.000 0.000
As: 0.500 0.500 0.500
I: 0.259 0.259 0.741
I: 0.259 0.741 0.259
I: 0.259 0.741 0.741
I: 0.741 0.259 0.259
I: 0.741 0.259 0.741
I: 0.741 0.741 0.259

Principal peaks in the range 2θ = 10–80°, in order of rising 2θ:
2θ = 14.8°, rel. 466
2θ = 25.7°, rel. 568
2θ = 29.8°, rel. 1000
2θ = 33.4°, rel. 253
2θ = 42.6°, rel. 737
2θ = 45.3°, rel. 135
2θ = 50.4°, rel. 245
2θ = 52.8°, rel. 257
2θ = 70.1°, rel. 324
2θ = 77.9°, rel. 240

***

Entry 9:
Starting from the GGA-PBE geometry in the Materials Project, the X-ray diffraction stick pattern of Hg3AsSe4I was computed for copper Kα.
Neutral-atom scattering factors, no anomalous dispersion.

Structure:
a b c (Å): 7.889 7.889 10.696
angles (deg): 90.00 90.00 120.00
Fractional positions:
Hg: 0.004 0.502 0.000
Hg: 0.498 0.502 0.000
Hg: 0.498 0.996 0.000
Hg: 0.502 0.004 0.500
Hg: 0.502 0.498 0.500
Hg: 0.996 0.498 0.500
As: 0.000 0.000 0.496
As: 0.000 0.000 0.996
Se: 0.151 0.303 0.618
Se: 0.151 0.849 0.618
Se: 0.303 0.151 0.118
Se: 0.333 0.667 0.873
Se: 0.667 0.333 0.373
Se: 0.697 0.849 0.618
Se: 0.849 0.151 0.118
Se: 0.849 0.697 0.118
I: 0.333 0.667 0.290
I: 0.667 0.333 0.790

Principal peaks in the range 2θ = 10–80°, in order of rising 2θ:
2θ = 13.0°, rel. 174
2θ = 16.6°, rel. 496
2θ = 26.1°, rel. 308
2θ = 27.4°, rel. 173
2θ = 28.1°, rel. 259
2θ = 31.1°, rel. 1000
2θ = 43.0°, rel. 508
2θ = 46.0°, rel. 388
2θ = 49.2°, rel. 188
2θ = 56.6°, rel. 191